1.
Simulated X-ray powder pattern of ZrSn for λ = 1.5418 Å (Cu Kα), from a structure optimized by DFT (PBE).
Peak positions follow from Bragg's law for the DFT cell and can differ from measured ones.

Cell and atoms:
Cell: 5.3184 12.6008 5.6039 Å, 90.00 90.00 90.00°
Space group Pmmn (No. 59, origin choice 2)
Asymmetric unit:
Zr 0.2500 0.1255 0.1668 x4
Zr 0.2500 0.2500 0.6614 x2
Zr 0.2500 0.7500 0.6778 x2
Sn 0.2500 0.0003 0.6598 x4
Sn 0.2500 0.6274 0.1674 x4

Top 6 peaks for 2θ from 10° to 90°, in order of rising 2θ:
d [Å], 2θ/deg, I (rel.), hkl
2.746, 32.61, 24, 0 4 1
2.659, 33.70, 43, 2 0 0
2.479, 36.24, 53, 1 0 2
2.440, 36.84, 100, 1 4 1
1.489, 62.34, 22, 3 4 1
1.375, 68.19, 22, 2 4 3



2.
Simulated X-ray powder pattern of Mg3Rh for λ = 1.5418 Å (Cu Kα), from a structure optimized by DFT (PBE).
Peak positions follow from Bragg's law for the DFT cell and can differ from measured ones.

Cell and atoms:
Cell: 7.9674 7.9674 8.2398 Å, 90.00 90.00 120.00°
Space group P6_3cm (No. 185)
Asymmetric unit:
Mg 0.0000 0.0000 0.0000 x2
Mg 0.0000 0.2860 0.2632 x6
Mg 0.0000 0.3733 0.6059 x6
Mg 0.3333 0.6667 0.3908 x4
Rh 0.0000 0.3278 0.9341 x6

Top 6 peaks for 2θ from 10° to 90°, in order of rising 2θ:
d [Å], 2θ/deg, I (rel.), hkl
4.120, 21.57, 44, 0 0 2
3.984, 22.32, 33, 1 1 0
3.587, 24.82, 100, 1 1 1
2.300, 39.17, 84, 3 0 0
2.261, 39.87, 96, 1 1 3
2.008, 45.15, 41, 3 0 2



3.
Simulated X-ray powder pattern of Er4Ni for λ = 1.5418 Å (Cu Kα), from a structure optimized by DFT (PBE).
Peak positions follow from Bragg's law for the DFT cell and can differ from measured ones.

Cell and atoms:
Cell: 10.5117 10.5117 10.5117 Å, 90.00 90.00 90.00°
Space group Fd-3m (No. 227, origin choice 2)
Asymmetric unit:
Er 0.0124 0.0124 0.2376 x32
Ni 0.1250 0.1250 0.6250 x8

Top 6 peaks for 2θ from 10° to 90°, in order of rising 2θ:
d [Å], 2θ/deg, I (rel.), hkl
3.034, 29.44, 100, 2 2 2
2.628, 34.12, 40, 4 0 0
2.023, 44.80, 14, 5 1 1
1.858, 49.02, 40, 4 4 0
1.585, 58.22, 36, 6 2 2
1.206, 79.49, 12, 6 6 2



4.
Simulated X-ray powder pattern of Al2O3 for λ = 1.5418 Å (Cu Kα), from a structure optimized by DFT (PBE).
Peak positions follow from Bragg's law for the DFT cell and can differ from measured ones.

Cell and atoms:
Cell: 5.5471 5.6653 14.5778 Å, 94.37 93.79 118.71°
Space group P1 (No. 1)
Asymmetric unit:
Al 0.0000 0.0000 0.0000 x1
Al 0.9999 0.7588 0.1511 x1
Al 0.0309 0.4246 0.2997 x1
Al 0.0429 0.7279 0.4993 x1
Al 0.1618 0.4710 0.6646 x1
Al 0.2240 0.8455 0.8232 x1
Al 0.3641 0.4901 0.4946 x1
Al 0.3952 0.4080 0.8352 x1
Al 0.4187 0.6823 0.0150 x1
Al 0.4556 0.3678 0.1710 x1
Al 0.4790 0.1245 0.3372 x1
Al 0.6092 0.2779 0.9882 x1
Al 0.6718 0.4866 0.6558 x1
Al 0.6877 0.7741 0.3347 x1
Al 0.7585 0.0513 0.8009 x1
Al 0.7725 0.0215 0.5162 x1
O 0.0536 0.4628 0.4245 x1
O 0.0698 0.2206 0.7547 x1
O 0.2247 0.8490 0.0570 x1
O 0.2363 0.0906 0.9103 x1
O 0.2607 0.6193 0.8945 x1
O 0.2690 0.3528 0.0606 x1
O 0.2699 0.0690 0.2294 x1
O 0.3029 0.7305 0.5773 x1
O 0.3170 0.2981 0.5937 x1
O 0.3459 0.5727 0.2484 x1
O 0.5047 0.9134 0.4202 x1
O 0.5057 0.1500 0.7767 x1
O 0.5273 0.4331 0.3981 x1
O 0.5426 0.6699 0.7478 x1
O 0.6803 0.5708 0.9327 x1
O 0.7457 0.3900 0.1070 x1
O 0.7563 0.0920 0.2840 x1
O 0.7597 0.0884 0.9311 x1
O 0.7613 0.7232 0.5628 x1
O 0.7664 0.8642 0.0892 x1
O 0.8135 0.2860 0.5949 x1
O 0.8459 0.6132 0.2618 x1
O 0.9914 0.9558 0.4320 x1
O 0.9994 0.6457 0.7273 x1

Top 6 peaks for 2θ from 10° to 90°, in order of rising 2θ:
d [Å], 2θ/deg, I (rel.), hkl
4.573, 19.41, 58, -1 1 1
3.856, 23.07, 64, 0 1 2
2.517, 35.68, 66, 1 -2 3
2.164, 41.74, 48, 0 2 -4
2.064, 43.86, 54, 2 0 3
2.001, 45.32, 100, -2 2 4



5.
Simulated X-ray powder pattern of Tb3Sn7 for λ = 1.5418 Å (Cu Kα), from a structure optimized by DFT (PBE).
Peak positions follow from Bragg's law for the DFT cell and can differ from measured ones.

Cell and atoms:
Cell: 4.4991 26.1289 4.4994 Å, 90.00 90.00 90.00°
Space group Cmmm (No. 65)
Asymmetric unit:
Tb 0.0000 0.0000 0.0000 x2
Tb 0.0000 0.3113 0.5000 x4
Sn 0.0000 0.0959 0.5000 x4
Sn 0.0000 0.2114 0.0000 x4
Sn 0.0000 0.4038 0.0000 x4
Sn 0.0000 0.5000 0.5000 x2

Top 6 peaks for 2θ from 10° to 90°, in order of rising 2θ:
d [Å], 2θ/deg, I (rel.), hkl
2.717, 32.96, 100, 1 5 1
2.613, 34.32, 19, 0 10 0
2.250, 40.08, 31, 2 0 0
1.705, 53.77, 21, 2 10 0
1.528, 60.60, 11, 1 15 1
1.373, 68.33, 25, 3 5 1



6.
Simulated X-ray powder pattern of MnAlNi6 for λ = 1.5418 Å (Cu Kα), from a structure optimized by DFT (PBE).
Peak positions follow from Bragg's law for the DFT cell and can differ from measured ones.

Cell and atoms:
Cell: 3.5238 3.5238 7.0935 Å, 90.00 90.00 90.00°
Space group P4/mmm (No. 123)
Asymmetric unit:
Mn 0.0000 0.0000 0.0000 x1
Al 0.0000 0.0000 0.5000 x1
Ni 0.0000 0.5000 0.2416 x4
Ni 0.5000 0.5000 0.0000 x1
Ni 0.5000 0.5000 0.5000 x1

Top 6 peaks for 2θ from 10° to 90°, in order of rising 2θ:
d [Å], 2θ/deg, I (rel.), hkl
7.094, 12.48, 5, 0 0 1
2.039, 44.43, 100, 1 1 2
1.773, 51.53, 15, 0 0 4
1.762, 51.90, 31, 2 0 0
1.250, 76.16, 18, 2 0 4
1.246, 76.46, 9, 2 2 0